No. 1
This entry pairs a crystal structure of LiSmFe4O12 with its computed X-ray powder pattern. Radiation: a wavelength of 1.5418 Å. Structure: a cell relaxed with GGA+U.
Intensities are scaled so that the largest is 100.

Structure:
```
data_LiSmFe4O12
_space_group_name_H-M_alt 'P 4/m m m'
_space_group_IT_number 123
_space_group_name_Hall '-P 4 2'
_cell_length_a 5.3676
_cell_length_b 5.3676
_cell_length_c 7.6569
_cell_angle_alpha 90.00
_cell_angle_beta 90.00
_cell_angle_gamma 90.00
loop_
_atom_site_label
_atom_site_type_symbol
_atom_site_fract_x
_atom_site_fract_y
_atom_site_fract_z
Li1 Li 0.0000 0.0000 0.0000
Sm1 Sm 0.5000 0.5000 0.5000
Fe1 Fe 0.0000 0.5000 0.2440
O1 O 0.0000 0.5000 0.0000
O2 O 0.0000 0.5000 0.5000
O3 O 0.2583 0.2583 0.2615
```

Principal peaks in the range 2θ = 10–80°, in order of rising 2θ:
| 2θ/deg | d_spacing | I_rel | (hkl) |
| --- | --- | --- | --- |
| 11.6 | 7.657 | 61 | 0 0 1 |
| 16.5 | 5.368 | 61 | 1 0 0 |
| 20.2 | 4.395 | 80 | 1 0 1 |
| 23.4 | 3.795 | 30 | 1 1 0 |
| 26.2 | 3.401 | 42 | 1 1 1 |
| 33.2 | 2.695 | 100 | 1 1 2 |
| 33.4 | 2.684 | 50 | 2 0 0 |
| 47.9 | 1.898 | 54 | 2 2 0 |
| 59.6 | 1.552 | 38 | 3 1 2 |
| 69.8 | 1.348 | 29 | 2 2 4 |

---

No. 2
This entry pairs a crystal structure of Li3Fe2SnO6 with its computed X-ray powder pattern. Radiation: a wavelength of 1.5418 Å. Structure: a cell relaxed with GGA+U.
Intensities are scaled so that the largest is 100.

Structure:
```
data_Li3Fe2SnO6
_space_group_name_H-M_alt 'C 1 2/m 1'
_space_group_IT_number 12
_cell_length_a 13.2391
_cell_length_b 3.0749
_cell_length_c 6.1227
_cell_angle_alpha 90.00
_cell_angle_beta 103.03
_cell_angle_gamma 90.00
loop_
_space_group_symop_operation_xyz
'x,y,z'
'-x,-y,-z'
'-x,y,-z'
'x,-y,z'
'x+1/2,y+1/2,z'
'-x+1/2,-y+1/2,-z'
'-x+1/2,y+1/2,-z'
'x+1/2,-y+1/2,z'
loop_
_atom_site_label
_atom_site_type_symbol
_atom_site_fract_x
_atom_site_fract_y
_atom_site_fract_z
Li1 Li 0.0000 0.0000 0.0000
Li2 Li 0.1730 0.5000 0.3324
Fe1 Fe 0.1736 0.5000 0.8509
Sn1 Sn 0.0000 0.0000 0.5000
O1 O 0.0018 0.5000 0.7377
O2 O 0.1607 0.0000 0.5975
O3 O 0.1666 0.0000 0.0745
```

Principal peaks in the range 2θ = 10–80°, in order of rising 2θ:
| 2θ/deg | d_spacing | I_rel | (hkl) |
| --- | --- | --- | --- |
| 17.8 | 4.974 | 100 | 2 0 -1 |
| 34.2 | 2.619 | 34 | 1 1 1 |
| 34.5 | 2.602 | 17 | 4 0 1 |
| 35.9 | 2.501 | 22 | 3 1 0 |
| 41.6 | 2.169 | 49 | 1 1 -2 |
| 42.0 | 2.150 | 24 | 6 0 0 |
| 45.8 | 1.981 | 14 | 5 1 -1 |
| 55.1 | 1.667 | 11 | 3 1 -3 |
| 60.5 | 1.530 | 21 | 5 1 2 |
| 60.8 | 1.524 | 14 | 7 1 -2 |

---

No. 3
This entry pairs a crystal structure of Li5Fe3Sn2O10 with its computed X-ray powder pattern. Radiation: a wavelength of 1.5418 Å. Structure: a cell relaxed with GGA+U.
Intensities are scaled so that the largest is 100.

Structure:
```
data_Li5Fe3Sn2O10
_space_group_name_H-M_alt 'P -1'
_space_group_IT_number 2
_cell_length_a 5.2307
_cell_length_b 5.3551
_cell_length_c 8.0640
_cell_angle_alpha 72.31
_cell_angle_beta 71.94
_cell_angle_gamma 80.32
loop_
_space_group_symop_operation_xyz
'x,y,z'
'-x,-y,-z'
loop_
_atom_site_label
_atom_site_type_symbol
_atom_site_fract_x
_atom_site_fract_y
_atom_site_fract_z
Li1 Li 0.0000 0.0000 0.0000
Li2 Li 0.4930 0.9079 0.7075
Li3 Li 0.4949 0.7323 0.0921
Fe1 Fe 0.0030 0.8080 0.3941
Fe2 Fe 0.5000 0.5000 0.5000
Sn1 Sn 0.0096 0.3967 0.1979
O1 O 0.2297 0.6431 0.9597
O2 O 0.2375 0.0543 0.1620
O3 O 0.2456 0.4405 0.3587
O4 O 0.2551 0.8217 0.5613
O5 O 0.2611 0.2822 0.7324
```

Principal peaks in the range 2θ = 10–80°, in order of rising 2θ:
| 2θ/deg | d_spacing | I_rel | (hkl) |
| --- | --- | --- | --- |
| 17.4 | 5.085 | 56 | 0 1 0 |
| 17.9 | 4.956 | 100 | 1 0 0 |
| 22.1 | 4.020 | 35 | 1 1 1 |
| 25.8 | 3.453 | 30 | 1 0 2 |
| 34.1 | 2.632 | 29 | 0 2 1 |
| 34.7 | 2.584 | 20 | 1 1 3 |
| 35.6 | 2.521 | 35 | 1 2 1 |
| 40.9 | 2.209 | 52 | 1 1 -2 |
| 41.7 | 2.166 | 50 | -1 2 1 |
| 42.4 | 2.131 | 48 | 2 1 3 |

---

No. 4
This entry pairs a crystal structure of LiFeSnO4 with its computed X-ray powder pattern. Radiation: a wavelength of 1.5418 Å. Structure: a cell relaxed with GGA+U.
Intensities are scaled so that the largest is 100.

Structure:
```
data_LiFeSnO4
_space_group_name_H-M_alt 'I m m a'
_space_group_IT_number 74
_space_group_name_Hall '-I 2b 2'
_cell_length_a 6.0692
_cell_length_b 6.3163
_cell_length_c 8.7474
_cell_angle_alpha 90.00
_cell_angle_beta 90.00
_cell_angle_gamma 90.00
loop_
_atom_site_label
_atom_site_type_symbol
_atom_site_fract_x
_atom_site_fract_y
_atom_site_fract_z
Li1 Li 0.0000 0.2500 0.1284
Fe1 Fe 0.2500 0.2500 0.7500
Sn1 Sn 0.0000 0.0000 0.5000
O1 O 0.0000 0.0290 0.7380
O2 O 0.2321 0.2500 0.5105
```

Principal peaks in the range 2θ = 10–80°, in order of rising 2θ:
| 2θ/deg | d_spacing | I_rel | (hkl) |
| --- | --- | --- | --- |
| 17.3 | 5.121 | 31 | 0 1 1 |
| 17.8 | 4.987 | 100 | 1 0 1 |
| 33.6 | 2.668 | 42 | 1 2 1 |
| 34.1 | 2.628 | 19 | 1 0 3 |
| 35.0 | 2.560 | 17 | 0 2 2 |
| 36.0 | 2.493 | 15 | 2 0 2 |
| 41.3 | 2.188 | 65 | 0 0 4 |
| 44.9 | 2.020 | 15 | 1 2 3 |
| 54.9 | 1.672 | 13 | 3 2 1 |
| 59.8 | 1.547 | 28 | 2 2 4 |

---

No. 5
This entry pairs a crystal structure of LiFeSnO4 with its computed X-ray powder pattern. Radiation: a wavelength of 1.5418 Å. Structure: a cell relaxed with GGA+U.
Intensities are scaled so that the largest is 100.

Structure:
```
data_LiFeSnO4
_space_group_name_H-M_alt 'P m c 21'
_space_group_IT_number 26
_cell_length_a 3.1158
_cell_length_b 5.1856
_cell_length_c 9.9161
_cell_angle_alpha 90.00
_cell_angle_beta 90.00
_cell_angle_gamma 90.00
loop_
_space_group_symop_operation_xyz
'x,y,z'
'-x,-y,z+1/2'
'-x,y,z'
'x,-y,z+1/2'
loop_
_atom_site_label
_atom_site_type_symbol
_atom_site_fract_x
_atom_site_fract_y
_atom_site_fract_z
Li1 Li 0.0000 0.2208 0.0000
Fe1 Fe 0.0000 0.2440 0.4093
Sn1 Sn 0.5000 0.2695 0.6928
O1 O 0.0000 0.0681 0.7879
O2 O 0.0000 0.4556 0.5903
O3 O 0.5000 0.0421 0.5164
O4 O 0.5000 0.4502 0.3421
```

Principal peaks in the range 2θ = 10–80°, in order of rising 2θ:
| 2θ/deg | d_spacing | I_rel | (hkl) |
| --- | --- | --- | --- |
| 17.9 | 4.958 | 13 | 0 0 2 |
| 19.3 | 4.595 | 100 | 0 1 1 |
| 32.1 | 2.787 | 46 | 0 1 3 |
| 34.0 | 2.638 | 35 | 1 0 2 |
| 34.8 | 2.579 | 47 | 1 1 1 |
| 43.6 | 2.077 | 14 | 1 1 3 |
| 49.3 | 1.849 | 41 | 1 2 2 |
| 51.0 | 1.792 | 17 | 0 2 4 |
| 57.9 | 1.592 | 23 | 1 1 5 |
| 62.1 | 1.494 | 14 | 1 3 1 |

---

No. 6
This entry pairs a crystal structure of Li4Fe5Sn3O16 with its computed X-ray powder pattern. Radiation: a wavelength of 1.5418 Å. Structure: a cell relaxed with GGA+U.
Intensities are scaled so that the largest is 100.

Structure:
```
data_Li4Fe5Sn3O16
_space_group_name_H-M_alt 'C 1 m 1'
_space_group_IT_number 8
_cell_length_a 10.6066
_cell_length_b 6.1286
_cell_length_c 9.6842
_cell_angle_alpha 90.00
_cell_angle_beta 90.66
_cell_angle_gamma 90.00
loop_
_space_group_symop_operation_xyz
'x,y,z'
'x,-y,z'
'x+1/2,y+1/2,z'
'x+1/2,-y+1/2,z'
loop_
_atom_site_label
_atom_site_type_symbol
_atom_site_fract_x
_atom_site_fract_y
_atom_site_fract_z
Li1 Li 0.0000 0.0000 0.0000
Li2 Li 0.0025 0.0000 0.4916
Li3 Li 0.1586 0.5000 0.8948
Li4 Li 0.3235 0.0000 0.3865
Fe1 Fe 0.0774 0.2552 0.2141
Fe2 Fe 0.1541 0.5000 0.4860
Fe3 Fe 0.1625 0.0000 0.7154
Fe4 Fe 0.3218 0.0000 0.9948
Sn1 Sn 0.3220 0.5000 0.2119
Sn2 Sn 0.4079 0.2460 0.7130
O1 O 0.0117 0.5000 0.3365
O2 O 0.0758 0.2450 0.5977
O3 O 0.1535 0.5000 0.1008
O4 O 0.1582 0.0000 0.1027
O5 O 0.2294 0.2775 0.3420
O6 O 0.2504 0.2194 0.8419
O7 O 0.3216 0.0000 0.5965
O8 O 0.3306 0.5000 0.5923
O9 O 0.4120 0.2525 0.0959
O10 O 0.4752 0.0000 0.8439
O11 O 0.4962 0.5000 0.3077
O12 O 0.4966 0.5000 0.8146
```

Principal peaks in the range 2θ = 10–80°, in order of rising 2θ:
| 2θ/deg | d_spacing | I_rel | (hkl) |
| --- | --- | --- | --- |
| 18.3 | 4.842 | 100 | 0 0 2 |
| 19.0 | 4.667 | 39 | 1 1 -1 |
| 19.1 | 4.637 | 71 | 2 0 1 |
| 24.8 | 3.592 | 24 | 2 0 -2 |
| 33.8 | 2.653 | 25 | 2 2 0 |
| 35.0 | 2.563 | 53 | 4 0 -1 |
| 35.1 | 2.553 | 49 | 2 2 1 |
| 44.1 | 2.055 | 26 | 2 2 -3 |
| 44.3 | 2.044 | 28 | 2 2 3 |
| 60.4 | 1.531 | 48 | 0 4 0 |

---

No. 7
This entry pairs a crystal structure of Li2Fe2SnO6 with its computed X-ray powder pattern. Radiation: a wavelength of 1.5418 Å. Structure: a cell relaxed with GGA+U.
Intensities are scaled so that the largest is 100.

Structure:
```
data_Li2Fe2SnO6
_space_group_name_H-M_alt 'C m c e'
_space_group_IT_number 64
_space_group_name_Hall '-C 2ac 2'
_cell_length_a 8.9455
_cell_length_b 5.1998
_cell_length_c 10.1233
_cell_angle_alpha 90.00
_cell_angle_beta 90.00
_cell_angle_gamma 90.00
loop_
_atom_site_label
_atom_site_type_symbol
_atom_site_fract_x
_atom_site_fract_y
_atom_site_fract_z
Li1 Li 0.2500 0.0895 0.2500
Fe1 Fe 0.1636 0.0000 0.0000
Sn1 Sn 0.0000 0.0000 0.5000
O1 O 0.0000 0.1545 0.9002
O2 O 0.1790 0.1698 0.6051
```

Principal peaks in the range 2θ = 10–80°, in order of rising 2θ:
| 2θ/deg | d_spacing | I_rel | (hkl) |
| --- | --- | --- | --- |
| 17.5 | 5.062 | 100 | 0 0 2 |
| 21.6 | 4.109 | 10 | 1 1 1 |
| 34.5 | 2.600 | 11 | 0 2 0 |
| 35.5 | 2.531 | 7 | 0 0 4 |
| 35.8 | 2.506 | 40 | 3 1 1 |
| 38.9 | 2.313 | 20 | 0 2 2 |
| 44.1 | 2.053 | 39 | 3 1 3 |
| 50.3 | 1.813 | 14 | 0 2 4 |
| 57.8 | 1.594 | 19 | 3 1 5 |
| 62.7 | 1.482 | 17 | 3 3 1 |

---

No. 8
This entry pairs a crystal structure of Li4Fe5Sn3O16 with its computed X-ray powder pattern. Radiation: a wavelength of 1.5418 Å. Structure: a cell relaxed with GGA+U.
Intensities are scaled so that the largest is 100.

Structure:
```
data_Li4Fe5Sn3O16
_space_group_name_H-M_alt 'P 1'
_space_group_IT_number 1
_cell_length_a 6.1014
_cell_length_b 6.1054
_cell_length_c 9.6981
_cell_angle_alpha 90.20
_cell_angle_beta 90.19
_cell_angle_gamma 119.84
loop_
_space_group_symop_operation_xyz
'x,y,z'
loop_
_atom_site_label
_atom_site_type_symbol
_atom_site_fract_x
_atom_site_fract_y
_atom_site_fract_z
Li1 Li 0.0000 0.0000 0.0000
Li2 Li 0.0108 0.9957 0.4917
Li3 Li 0.3052 0.6790 0.3885
Li4 Li 0.6526 0.3462 0.8986
Fe1 Fe 0.1593 0.8445 0.7198
Fe2 Fe 0.3290 0.1824 0.2138
Fe3 Fe 0.3305 0.6916 0.9949
Fe4 Fe 0.6453 0.3463 0.4882
Fe5 Fe 0.8127 0.6724 0.2172
Sn1 Sn 0.1543 0.3514 0.7145
Sn2 Sn 0.6481 0.8416 0.7112
Sn3 Sn 0.8242 0.1876 0.2135
O1 O 0.0055 0.0162 0.3079
O2 O 0.0274 0.5381 0.8469
O3 O 0.1654 0.3373 0.0996
O4 O 0.1688 0.8599 0.1061
O5 O 0.3127 0.6814 0.5971
O6 O 0.3171 0.1746 0.6005
O7 O 0.4703 0.9778 0.8426
O8 O 0.4718 0.5317 0.8436
O9 O 0.4874 0.4756 0.3344
O10 O 0.4967 0.0516 0.3365
O11 O 0.6415 0.3458 0.1057
O12 O 0.6687 0.8499 0.0967
O13 O 0.8232 0.6811 0.5963
O14 O 0.8241 0.1713 0.5909
O15 O 0.9417 0.4982 0.3448
O16 O 0.9892 0.0105 0.8150
```

Principal peaks in the range 2θ = 10–80°, in order of rising 2θ:
| 2θ/deg | d_spacing | I_rel | (hkl) |
| --- | --- | --- | --- |
| 18.3 | 4.849 | 100 | 0 0 2 |
| 19.1 | 4.646 | 90 | 1 -1 1 |
| 24.9 | 3.570 | 33 | -1 1 2 |
| 32.5 | 2.755 | 28 | -1 1 3 |
| 34.8 | 2.579 | 28 | 2 -1 2 |
| 35.1 | 2.557 | 33 | 2 0 -1 |
| 35.2 | 2.549 | 67 | 2 0 1 |
| 38.8 | 2.318 | 28 | 2 0 2 |
| 44.3 | 2.044 | 53 | -2 2 3 |
| 60.7 | 1.526 | 31 | 4 -2 0 |

---

No. 9
This entry pairs a crystal structure of LiFeSnO4 with its computed X-ray powder pattern. Radiation: a wavelength of 1.5418 Å. Structure: a cell relaxed with GGA+U.
Intensities are scaled so that the largest is 100.

Structure:
```
data_LiFeSnO4
_space_group_name_H-M_alt 'P 43 2 2'
_space_group_IT_number 95
_cell_length_a 6.1334
_cell_length_b 6.1334
_cell_length_c 8.5795
_cell_angle_alpha 90.00
_cell_angle_beta 90.00
_cell_angle_gamma 90.00
loop_
_space_group_symop_operation_xyz
'x,y,z'
'-y,x,z+3/4'
'-x,-y,z+1/2'
'y,-x,z+1/4'
'x,-y,-z+1/2'
'-y,-x,-z+3/4'
'-x,y,-z'
'y,x,-z+1/4'
loop_
_atom_site_label
_atom_site_type_symbol
_atom_site_fract_x
_atom_site_fract_y
_atom_site_fract_z
Li1 Li 0.0000 0.2272 0.0000
Fe1 Fe 0.2348 0.5000 0.2500
Sn1 Sn 0.2550 0.2550 0.6250
O1 O 0.0167 0.2611 0.2522
O2 O 0.2623 0.4804 0.0125
```

Principal peaks in the range 2θ = 10–80°, in order of rising 2θ:
| 2θ/deg | d_spacing | I_rel | (hkl) |
| --- | --- | --- | --- |
| 17.8 | 4.990 | 41 | 1 0 1 |
| 29.1 | 3.067 | 42 | 2 0 0 |
| 29.3 | 3.050 | 85 | 1 1 2 |
| 34.3 | 2.613 | 100 | 2 1 1 |
| 34.6 | 2.592 | 52 | 1 0 3 |
| 51.7 | 1.767 | 35 | 3 1 2 |
| 52.0 | 1.758 | 18 | 2 0 4 |
| 55.0 | 1.669 | 31 | 3 2 1 |
| 60.4 | 1.533 | 20 | 4 0 0 |
| 60.7 | 1.525 | 39 | 2 2 4 |

---

No. 10
This entry pairs a crystal structure of LiFeSnO4 with its computed X-ray powder pattern. Radiation: a wavelength of 1.5418 Å. Structure: a cell relaxed with GGA+U.
Intensities are scaled so that the largest is 100.

Structure:
```
data_LiFeSnO4
_space_group_name_H-M_alt 'P 43 2 2'
_space_group_IT_number 95
_cell_length_a 6.1252
_cell_length_b 6.1252
_cell_length_c 8.6258
_cell_angle_alpha 90.00
_cell_angle_beta 90.00
_cell_angle_gamma 90.00
loop_
_space_group_symop_operation_xyz
'x,y,z'
'-y,x,z+3/4'
'-x,-y,z+1/2'
'y,-x,z+1/4'
'x,-y,-z+1/2'
'-y,-x,-z+3/4'
'-x,y,-z'
'y,x,-z+1/4'
loop_
_atom_site_label
_atom_site_type_symbol
_atom_site_fract_x
_atom_site_fract_y
_atom_site_fract_z
Li1 Li 0.0000 0.2110 0.0000
Fe1 Fe 0.2539 0.2539 0.6250
Sn1 Sn 0.2262 0.5000 0.2500
O1 O 0.0013 0.2550 0.2529
O2 O 0.2605 0.4831 0.0079
```

Principal peaks in the range 2θ = 10–80°, in order of rising 2θ:
| 2θ/deg | d_spacing | I_rel | (hkl) |
| --- | --- | --- | --- |
| 14.5 | 6.125 | 48 | 1 0 0 |
| 23.0 | 3.871 | 84 | 1 1 1 |
| 25.3 | 3.526 | 49 | 1 0 2 |
| 29.2 | 3.058 | 37 | 1 1 2 |
| 34.3 | 2.611 | 100 | 2 1 1 |
| 34.5 | 2.603 | 50 | 1 0 3 |
| 48.1 | 1.890 | 24 | 3 1 1 |
| 55.1 | 1.666 | 35 | 3 2 1 |
| 60.5 | 1.531 | 22 | 4 0 0 |
| 60.6 | 1.528 | 47 | 2 2 4 |

---

What is the formula in the second record? Li3Fe2SnO6

---

What is the formula in the fourth record? LiFeSnO4